Ho2Zr2O7: calculated powder XRD pattern (Cu Kα X-rays), based on a structure optimized by DFT (GGA-PBE).
Peak positions follow from Bragg's law for the DFT cell and can differ from measured ones.

Main lines, in order of rising 2θ (2θ from 10° to 90°):
| two_theta | d/Å | I/Imax |
| --- | --- | --- |
| 26.1 | 3.410 | 29 |
| 28.1 | 3.179 | 30 |
| 29.6 | 3.019 | 100 |
| 30.8 | 2.900 | 34 |
| 32.4 | 2.761 | 75 |
| 32.5 | 2.756 | 22 |
| 42.1 | 2.144 | 19 |
| 46.2 | 1.964 | 34 |
| 57.6 | 1.600 | 19 |
| 57.9 | 1.593 | 19 |

Structural model:
abc: 7.860 5.515 13.789
angles: 90.00 98.45 90.00
Space group P2_1 (No. 4)
One atom of each set of equivalent atoms:
Ho (0.137, 0.000, 0.059)
Ho (0.237, 0.448, 0.427)
Ho (0.287, 0.912, 0.634)
Ho (0.362, 0.428, 0.899)
Zr (0.027, 0.433, 0.618)
Zr (0.075, 0.936, 0.820)
Zr (0.411, 0.447, 0.173)
Zr (0.468, 0.934, 0.376)
O (0.003, 0.587, 0.326)
O (0.077, 0.721, 0.522)
O (0.078, 0.224, 0.918)
O (0.140, 0.636, 0.730)
O (0.152, 0.714, 0.935)
O (0.170, 0.303, 0.176)
O (0.222, 0.055, 0.384)
O (0.271, 0.301, 0.583)
O (0.324, 0.076, 0.798)
O (0.365, 0.782, 0.121)
O (0.416, 0.583, 0.327)
O (0.420, 0.245, 0.047)
O (0.437, 0.717, 0.523)
O (0.473, 0.644, 0.734)